[1]
Diffraction record for CsLuP2O7. The powder diffraction line list is simulated, not measured: it uses a crystal structure in OQMD, relaxed with PBE and Cu Kα, 1.54184 Å.
Neutral-atom scattering factors, no anomalous dispersion.

```
CsLuP2O7
1.0
7.8226 0.0000 0.0000
0.0000 10.6398 0.0000
-2.1117 0.0000 8.3645
Cs Lu P O
4 4 8 28
Direct
0.1997 0.1947 0.0488
0.1997 0.3053 0.5488
0.8003 0.6947 0.4512
0.8003 0.8053 0.9512
0.2357 0.5989 0.2545
0.2357 0.9011 0.7545
0.7643 0.0989 0.2455
0.7643 0.4011 0.7455
0.1311 0.5940 0.8230
0.1311 0.9060 0.3230
0.4312 0.6308 0.6840
0.4312 0.8692 0.1840
0.5688 0.1308 0.8160
0.5688 0.3692 0.3160
0.8689 0.0940 0.6770
0.8689 0.4060 0.1770
0.0026 0.0010 0.2240
0.0026 0.4990 0.7240
0.0853 0.7276 0.7604
0.0853 0.7724 0.2604
0.1480 0.5830 0.0006
0.1480 0.9170 0.5006
0.3238 0.5575 0.7965
0.3238 0.9425 0.2965
0.3337 0.6028 0.5126
0.3337 0.8972 0.0126
0.3843 0.0743 0.7673
0.3843 0.4257 0.2673
0.4391 0.7297 0.2261
0.4391 0.7703 0.7261
0.5609 0.2297 0.2739
0.5609 0.2703 0.7739
0.6157 0.5743 0.7327
0.6157 0.9257 0.2327
0.6663 0.1028 0.9874
0.6663 0.3972 0.4874
0.6762 0.0575 0.7035
0.6762 0.4425 0.2035
0.8520 0.0830 0.4994
0.8520 0.4170 0.9994
0.9147 0.2276 0.7396
0.9147 0.2724 0.2396
0.9974 0.5010 0.2760
0.9974 0.9990 0.7760
```

Peak list (10 most intense, 5° ≤ 2θ ≤ 70°, in order of falling intensity)
Position (°2θ), I/Imax
27.77, 100
28.75, 98
28.05, 89
16.05, 59
23.46, 58
23.19, 48
32.48, 38
27.36, 37
21.24, 32
28.89, 32

[2]
Diffraction record for CsLuZnO3. The powder diffraction line list is simulated, not measured: it uses a crystal structure in OQMD, relaxed with PBE and Cu Kα, 1.54184 Å.
Neutral-atom scattering factors, no anomalous dispersion.

```
CsLuZnO3
1.0
1.7448 -6.6624 0.0000
1.7448 6.6624 0.0000
0.0000 0.0000 8.8820
Cs Lu Zn O
2 2 2 6
Direct
0.2221 0.7779 0.7500
0.7779 0.2221 0.2500
0.5000 0.5000 0.0000
0.5000 0.5000 0.5000
0.0558 0.9442 0.2500
0.9442 0.0558 0.7500
0.1028 0.8972 0.0459
0.1028 0.8972 0.4541
0.4702 0.5298 0.2500
0.5298 0.4702 0.7500
0.8972 0.1028 0.5459
0.8972 0.1028 0.9541
```

Peak list (10 most intense, 5° ≤ 2θ ≤ 70°, in order of falling intensity)
Position (°2θ), I/Imax
24.08, 100
33.34, 81
13.29, 64
34.20, 56
26.76, 51
47.56, 46
32.63, 45
40.63, 38
28.62, 27
54.95, 25

[3]
Diffraction record for CsLuPbSe3. The powder diffraction line list is simulated, not measured: it uses a crystal structure in OQMD, relaxed with PBE and Cu Kα, 1.54184 Å.
Neutral-atom scattering factors, no anomalous dispersion.

```
CsLuPbSe3
1.0
2.0597 -8.8593 0.0000
2.0597 8.8593 0.0000
0.0000 0.0000 12.0457
Cs Lu Pb Se
2 2 2 6
Direct
0.1957 0.8043 0.7500
0.8043 0.1957 0.2500
0.5000 0.5000 0.0000
0.5000 0.5000 0.5000
0.0986 0.9014 0.2500
0.9014 0.0986 0.7500
0.1071 0.8929 0.0043
0.1071 0.8929 0.4957
0.4893 0.5107 0.2500
0.5107 0.4893 0.7500
0.8929 0.1071 0.5043
0.8929 0.1071 0.9957
```

Peak list (10 most intense, 5° ≤ 2θ ≤ 70°, in order of falling intensity)
Position (°2θ), I/Imax
9.98, 100
26.38, 83
29.67, 72
40.11, 54
27.42, 50
33.35, 44
45.23, 43
21.37, 31
53.93, 27
43.96, 24

[4]
Diffraction record for CsLuSnS3. The powder diffraction line list is simulated, not measured: it uses a crystal structure in OQMD, relaxed with PBE and Cu Kα, 1.54184 Å.
Neutral-atom scattering factors, no anomalous dispersion.

```
CsLuSnS3
1.0
1.9558 -8.8373 0.0000
1.9558 8.8373 0.0000
0.0000 0.0000 11.2906
Cs Lu Sn S
2 2 2 6
Direct
0.1907 0.8093 0.7500
0.8093 0.1907 0.2500
0.5000 0.5000 0.0000
0.5000 0.5000 0.5000
0.1086 0.8914 0.2500
0.8914 0.1086 0.7500
0.1020 0.8980 0.0049
0.1020 0.8980 0.4951
0.4920 0.5080 0.7500
0.5080 0.4920 0.2500
0.8980 0.1020 0.5049
0.8980 0.1020 0.9951
```

Peak list (10 most intense, 5° ≤ 2θ ≤ 70°, in order of falling intensity)
Position (°2θ), I/Imax
27.37, 100
18.65, 81
10.01, 77
42.36, 60
31.70, 58
28.21, 58
21.60, 39
28.51, 29
37.82, 24
34.19, 24

What did the second record say?
Diffraction record for CsLuZnO3. The powder diffraction line list is simulated, not measured: it uses a crystal structure in OQMD, relaxed with PBE and Cu Kα, 1.54184 Å.
Neutral-atom scattering factors, no anomalous dispersion.

```
CsLuZnO3
1.0
1.7448 -6.6624 0.0000
1.7448 6.6624 0.0000
0.0000 0.0000 8.8820
Cs Lu Zn O
2 2 2 6
Direct
0.2221 0.7779 0.7500
0.7779 0.2221 0.2500
0.5000 0.5000 0.0000
0.5000 0.5000 0.5000
0.0558 0.9442 0.2500
0.9442 0.0558 0.7500
0.1028 0.8972 0.0459
0.1028 0.8972 0.4541
0.4702 0.5298 0.2500
0.5298 0.4702 0.7500
0.8972 0.1028 0.5459
0.8972 0.1028 0.9541
```

Peak list (10 most intense, 5° ≤ 2θ ≤ 70°, in order of falling intensity)
Position (°2θ), I/Imax
24.08, 100
33.34, 81
13.29, 64
34.20, 56
26.76, 51
47.56, 46
32.63, 45
40.63, 38
28.62, 27
54.95, 25